[1]
Starting from a cell relaxed with GGA-PBE, the XRD peak list of CeTm2Ga2 was simulated for copper Kα.

```
CeTm2Ga2
1.0
5.4121 0.0000 0.0000
0.0000 3.8987 0.0000
-1.5114 0.0000 12.3778
Ce Tm Ga
2 4 4
direct
0.1757 0.2500 0.2309
0.8243 0.7500 0.7691
0.2401 0.7500 0.4666
0.3484 0.2500 0.8905
0.6516 0.7500 0.1095
0.7599 0.2500 0.5334
0.1407 0.7500 0.0318
0.2932 0.2500 0.6563
0.7068 0.7500 0.3437
0.8593 0.2500 0.9682
```

Main lines, sorted by position (2θ = 10–90°):
two_theta  d (Å)  I (rel.)
29.71  3.007  63
30.88  2.896  93
31.57  2.834  100
32.76  2.733  30
33.31  2.690  69
35.18  2.551  39
38.13  2.360  59
46.59  1.949  35
58.47  1.578  28
61.72  1.503  29



[2]
Starting from a cell relaxed with GGA-PBE, the XRD peak list of Pm2Y4Sc was simulated for copper Kα.

```
Pm2Y4Sc
1.0
1.8002 1.0394 19.8940
-1.8002 1.0394 19.8940
0.0000 -2.0787 19.8940
Pm Y Sc
2 4 1
direct
0.0000 0.0000 0.0000
0.0980 0.0980 0.0980
0.2843 0.2843 0.2843
0.3827 0.3827 0.3827
0.8139 0.8139 0.8139
0.9028 0.9028 0.9028
0.1917 0.1917 0.1917
```

Main lines, sorted by position (2θ = 10–90°):
two_theta  d (Å)  I (rel.)
28.67  3.114  46
31.48  2.842  49
32.40  2.764  100
33.14  2.703  99
50.71  1.800  40
56.14  1.638  18
57.59  1.601  18
60.92  1.521  42
61.47  1.508  15
61.93  1.498  16